[1]
This entry pairs a crystal structure of Tm4TeAu with its theoretical powder diffractogram. Radiation: a wavelength of 1.5418 Å. Structure: a cell relaxed with GGA-PBE.

Cell and atoms:
Lattice parameters (Å, degrees): 8.276 3.888 19.552 90.00 90.00 90.00
Space group Pnma (No. 62)
Unique sites:
Tm1 0.017 0.250 0.071
Tm2 0.021 0.250 0.783
Tm3 0.121 0.250 0.559
Tm4 0.159 0.250 0.345
Te1 0.220 0.750 0.686
Au1 0.249 0.250 0.951

Main lines, in order of falling intensity (2θ = 15–90°):
index  two_theta  intensity
1 1 4  31.32  100
2 1 3  34.52  70
0 1 5  32.47  53
2 1 0  31.54  42
3 0 4  37.43  37
0 2 0  46.72  34
3 0 1  32.79  28
2 1 5  39.27  28
0 0 8  36.77  24
3 1 1  40.35  19

=====

[2]
This entry pairs a crystal structure of UTe3Au2 with its theoretical powder diffractogram. Radiation: a wavelength of 1.5418 Å. Structure: a cell relaxed with GGA-PBE.

Cell and atoms:
Lattice parameters (Å, degrees): 7.931 4.374 11.278 90.00 108.02 90.00
Space group P2_1/m (No. 11)
Unique sites:
U1 0.168 0.250 0.196
Te1 0.052 0.750 0.352
Te2 0.290 0.750 0.034
Te3 0.439 0.750 0.680
Au1 0.124 0.250 0.899
Au2 0.423 0.750 0.410

Main lines, in order of falling intensity (2θ = 15–90°):
index  two_theta  intensity
2 1 0  31.32  100
0 1 3  32.34  99
3 1 -1  39.94  68
0 2 0  41.28  60
3 0 2  44.31  45
1 1 -3  31.65  38
2 0 1  27.39  35
1 1 -1  23.69  34
2 0 3  39.75  32
1 1 -4  38.00  28

=====

[3]
This entry pairs a crystal structure of VTe4Au with its theoretical powder diffractogram. Radiation: a wavelength of 1.5418 Å. Structure: a cell relaxed with GGA-PBE.

Cell and atoms:
Lattice parameters (Å, degrees): 6.759 6.802 6.823 90.00 90.81 90.00
Space group P2_1/c (No. 14)
Unique sites:
V1 0.000 0.000 0.000
Te1 0.105 0.137 0.365
Te2 0.363 0.614 0.385
Au1 0.500 0.000 0.500

Main lines, in order of falling intensity (2θ = 15–90°):
index  two_theta  intensity
2 1 1  32.52  100
1 1 3  44.25  99
1 0 -2  29.16  99
0 2 1  29.34  84
3 1 -1  44.17  82
2 1 0  29.52  80
1 1 2  32.35  64
0 0 2  26.16  57
1 2 -1  32.18  43
3 0 -2  48.11  40

=====

[4]
This entry pairs a crystal structure of V2Te6Au with its theoretical powder diffractogram. Radiation: a wavelength of 1.5418 Å. Structure: a cell relaxed with GGA-PBE.

Cell and atoms:
Lattice parameters (Å, degrees): 3.704 7.265 8.956 99.07 90.23 104.72
Space group P-1 (No. 2)
Unique sites:
V1 0.204 0.410 0.369
Te1 0.160 0.318 0.643
Te2 0.171 0.349 0.060
Te3 0.442 0.882 0.696
Au1 0.500 0.000 0.000

Main lines, in order of falling intensity (2θ = 15–90°):
index  two_theta  intensity
1 1 0  30.94  100
0 0 3  30.35  46
1 -2 1  31.59  22
1 1 -1  31.50  22
2 -1 0  49.19  20
0 2 -1  26.03  17
0 3 0  38.99  17
0 3 -1  38.63  15
0 2 2  35.45  14
0 1 -4  40.79  14

=====

[5]
This entry pairs a crystal structure of VTe3Au with its theoretical powder diffractogram. Radiation: a wavelength of 1.5418 Å. Structure: a cell relaxed with GGA-PBE.

Cell and atoms:
Lattice parameters (Å, degrees): 7.5646 7.5646 5.2426 90.00 90.00 120.00
Space group P6_3/mmc (No. 194)
Unique sites:
V1 0.0000 0.0000 0.0000
Te1 0.1768 0.3535 0.2500
Au1 0.3333 0.6667 0.7500

Main lines, in order of falling intensity (2θ = 15–90°):
index  two_theta  intensity
2 0 1  32.22  100
2 2 0  48.11  25
2 0 2  44.26  19
2 2 2  60.35  18
2 0 0  27.23  17
2 0 3  60.00  17
4 0 1  59.09  17
0 0 2  34.21  16
4 2 1  79.56  13
1 1 0  23.52  8

=====

[6]
This entry pairs a crystal structure of YTe3Au2 with its theoretical powder diffractogram. Radiation: a wavelength of 1.5418 Å. Structure: a cell relaxed with GGA-PBE.

Cell and atoms:
Lattice parameters (Å, degrees): 22.043 4.243 7.727 90.00 97.72 90.00
Space group C2/m (No. 12)
Unique sites:
Y1 0.149 0.000 0.044
Te1 0.081 0.000 0.374
Te2 0.081 0.500 0.811
Te3 0.248 0.500 0.207
Au1 0.049 0.500 0.150
Au2 0.205 0.000 0.441

Main lines, in order of falling intensity (2θ = 15–90°):
index  two_theta  intensity
3 1 0  24.28  100
1 1 -3  41.00  100
1 1 2  32.16  83
0 2 0  42.62  69
7 1 1  38.90  61
8 0 2  43.20  57
1 1 1  24.59  49
6 0 0  24.45  44
7 1 -1  36.39  42
5 1 2  39.51  41

=====

[7]
This entry pairs a crystal structure of ZnTeAu2 with its theoretical powder diffractogram. Radiation: a wavelength of 1.5418 Å. Structure: a cell relaxed with GGA-PBE.

Cell and atoms:
Lattice parameters (Å, degrees): 4.1750 4.1750 5.8904 90.00 90.00 120.00
Space group P-6m2 (No. 187)
Unique sites:
Zn1 0.0000 0.0000 0.0000
Te1 0.3333 0.6667 0.5000
Au1 0.6667 0.3333 0.2303

Main lines, in order of falling intensity (2θ = 15–90°):
index  two_theta  intensity
1 0 2  39.46  100
1 0 0  24.62  65
1 1 0  43.34  57
1 0 1  28.98  33
2 0 2  60.05  29
2 1 2  76.91  29
1 1 4  79.68  16
1 0 3  53.03  14
2 0 0  50.48  10
3 0 0  79.53  10

=====

[8]
This entry pairs a crystal structure of ZrTe3Au2 with its theoretical powder diffractogram. Radiation: a wavelength of 1.5418 Å. Structure: a cell relaxed with GGA-PBE.

Cell and atoms:
Lattice parameters (Å, degrees): 8.059 4.102 11.050 90.00 105.17 90.00
Space group P2_1/m (No. 11)
Unique sites:
Zr1 0.225 0.250 0.208
Te1 0.053 0.750 0.332
Te2 0.303 0.750 0.026
Te3 0.419 0.750 0.679
Au1 0.062 0.250 0.927
Au2 0.407 0.750 0.410

Main lines, in order of falling intensity (2θ = 15–90°):
index  two_theta  intensity
0 1 3  33.35  100
3 1 -1  40.13  87
2 1 0  31.71  81
1 1 -4  39.42  63
1 1 -1  24.94  58
0 2 0  44.16  58
1 1 -3  33.03  44
0 0 3  25.05  44
2 0 3  38.51  43
2 2 -5  63.06  36

=====

[9]
This entry pairs a crystal structure of Th3Au4 with its theoretical powder diffractogram. Radiation: a wavelength of 1.5418 Å. Structure: a cell relaxed with GGA-PBE.

Cell and atoms:
Lattice parameters (Å, degrees): 13.8596 13.8596 6.2972 90.00 90.00 120.00
Space group R-3 (No. 148, hexagonal axes)
Unique sites:
Th1 0.0462 0.8339 0.2377
Au1 0.0000 0.0000 0.0000
Au2 0.0000 0.0000 0.5000
Au3 0.0571 0.6091 0.3784

Main lines, in order of falling intensity (2θ = 15–90°):
index  two_theta  intensity
4 1 0  34.23  100
1 2 2  34.68  84
1 3 1  30.37  35
4 -1 2  39.39  22
6 -2 2  49.53  18
5 -2 1  35.58  15
5 4 1  62.18  14
0 7 2  61.59  12
2 0 2  32.10  11
7 -3 1  48.34  10

=====

[10]
This entry pairs a crystal structure of Th4Au with its theoretical powder diffractogram. Radiation: a wavelength of 1.5418 Å. Structure: a cell relaxed with GGA-PBE.

Cell and atoms:
Lattice parameters (Å, degrees): 12.052 14.715 6.917 90.00 90.00 90.00
Space group Fdd2 (No. 43)
Unique sites:
Th1 0.072 0.110 0.000
Th2 0.083 0.193 0.514
Au1 0.000 0.000 0.610

Main lines, in order of falling intensity (2θ = 15–90°):
index  two_theta  intensity
1 5 1  33.93  100
2 2 2  32.23  95
3 3 1  31.56  79
4 2 0  32.10  64
2 0 2  29.78  57
3 7 3  64.27  29
3 7 1  50.74  28
2 4 0  28.47  24
6 0 2  52.70  23
1 5 3  50.87  20

=====

[11]
This entry pairs a crystal structure of Th4Tl3Au with its theoretical powder diffractogram. Radiation: a wavelength of 1.5418 Å. Structure: a cell relaxed with GGA-PBE.

Cell and atoms:
Lattice parameters (Å, degrees): 3.533 3.533 18.075 90.00 90.00 90.00
Space group P4/mmm (No. 123)
Unique sites:
Th1 0.000 0.000 0.113
Th2 0.000 0.000 0.371
Tl1 0.500 0.500 0.243
Tl2 0.500 0.500 0.500
Au1 0.500 0.500 0.000

Main lines, in order of falling intensity (2θ = 15–90°):
index  two_theta  intensity
1 0 4  32.16  100
1 1 0  35.95  39
2 1 4  62.25  33
1 1 8  54.78  21
2 0 0  51.75  14
0 0 8  39.90  13
2 0 8  67.28  11
2 1 12  90.00  9
1 0 12  67.61  9
3 0 4  85.13  7

=====

[12]
This entry pairs a crystal structure of TmThAu3 with its theoretical powder diffractogram. Radiation: a wavelength of 1.5418 Å. Structure: a cell relaxed with GGA-PBE.

Cell and atoms:
Lattice parameters (Å, degrees): 3.513 28.127 4.690 90.00 90.00 90.00
Space group Cmcm (No. 63)
Unique sites:
Tm1 0.000 0.208 0.250
Th1 0.000 0.075 0.750
Au1 0.000 0.315 0.250
Au2 0.000 0.376 0.750
Au3 0.000 0.475 0.750

Main lines, in order of falling intensity (2θ = 15–90°):
index  two_theta  intensity
1 3 1  33.27  100
0 10 1  37.28  67
0 0 2  38.39  42
1 7 0  33.90  35
2 10 1  65.77  26
1 9 1  43.29  21
2 0 2  66.51  21
1 7 2  52.13  21
2 0 0  52.07  18
1 13 0  49.47  16